This entry pairs a crystal structure of CaMn8O16 with its calculated powder XRD pattern. Radiation: Cu Kα (λ = 1.5418 Å). Structure: a PBE+U-relaxed structure.
Lines closer than 0.1° are merged.

Largest 12 diffraction maxima, by angle, 2θ from 10° to 80°:
hkl 1 0 0, 12.5°, d 7.082, rel. 79; hkl 1 0 -2, 13.0°, d 6.836, rel. 77; hkl 0 0 2, 17.3°, d 5.120, rel. 69; hkl 2 0 -2, 18.7°, d 4.740, rel. 100; hkl 1 0 -4, 28.1°, d 3.175, rel. 55; hkl 3 0 -2, 29.3°, d 3.050, rel. 63; hkl 0 0 4, 35.1°, d 2.559, rel. 47; hkl 1 2 1, 36.0°, d 2.494, rel. 48; hkl 1 2 -3, 36.4°, d 2.471, rel. 59; hkl 2 2 -3, 36.9°, d 2.436, rel. 58; hkl 4 2 -5, 50.3°, d 1.815, rel. 44; hkl 2 2 -7, 58.6°, d 1.575, rel. 36

Atomic structure:
Cell: 9.486 5.951 13.713 Å, 90.00 131.71 90.00°
Sites, in units of the cell vectors:
Ca (0.000, 0.118, 0.000)
Ca (0.000, 0.882, 0.500)
Mn (0.111, 0.124, 0.280)
Mn (0.111, 0.876, 0.780)
Mn (0.113, 0.375, 0.773)
Mn (0.113, 0.625, 0.273)
Mn (0.393, 0.379, 0.577)
Mn (0.393, 0.621, 0.077)
Mn (0.411, 0.119, 0.086)
Mn (0.411, 0.881, 0.586)
Mn (0.456, 0.126, 0.792)
Mn (0.456, 0.874, 0.292)
Mn (0.460, 0.372, 0.294)
Mn (0.460, 0.628, 0.794)
Mn (0.748, 0.129, 0.597)
Mn (0.748, 0.871, 0.097)
Mn (0.749, 0.368, 0.098)
Mn (0.749, 0.632, 0.598)
O (0.002, 0.117, 0.648)
O (0.002, 0.883, 0.148)
O (0.192, 0.375, 0.392)
O (0.192, 0.625, 0.892)
O (0.193, 0.112, 0.903)
O (0.193, 0.888, 0.403)
O (0.279, 0.110, 0.602)
O (0.279, 0.890, 0.102)
O (0.281, 0.352, 0.103)
O (0.281, 0.648, 0.603)
O (0.332, 0.124, 0.298)
O (0.332, 0.876, 0.798)
O (0.336, 0.376, 0.798)
O (0.336, 0.624, 0.298)
O (0.531, 0.365, 0.078)
O (0.531, 0.635, 0.578)
O (0.534, 0.126, 0.581)
O (0.534, 0.874, 0.081)
O (0.569, 0.375, 0.770)
O (0.569, 0.625, 0.270)
O (0.581, 0.121, 0.279)
O (0.581, 0.879, 0.779)
O (0.666, 0.380, 0.480)
O (0.666, 0.620, 0.980)
O (0.669, 0.121, 0.978)
O (0.669, 0.879, 0.478)
O (0.862, 0.118, 0.225)
O (0.862, 0.882, 0.725)
O (0.863, 0.378, 0.722)
O (0.863, 0.622, 0.222)
O (0.993, 0.345, 0.141)
O (0.993, 0.655, 0.641)